1.
Diffraction record for TbH9C5N2O8. The XRD peak list is simulated, not measured: it uses a DFT-relaxed cell (GGA-PBE, the Materials Project) and Cu Kα, 1.54184 Å.
Intensities are scaled so that the largest is 100.

```
data_TbH9C5N2O8
_chemical_formula_sum 'Tb1 H9 C5 N2 O8'
_cell_length_a 6.7384
_cell_length_b 6.7384
_cell_length_c 6.6802
_cell_angle_alpha 104.56
_cell_angle_beta 104.56
_cell_angle_gamma 65.71
_symmetry_space_group_name_H-M 'P 1'
_symmetry_Int_Tables_number 1
loop_
_symmetry_equiv_pos_as_xyz
'x,y,z'
loop_
_atom_site_label
_atom_site_type_symbol
_atom_site_fract_x
_atom_site_fract_y
_atom_site_fract_z
_atom_site_occupancy
Tb1 Tb 0.0000 0.0000 0.0000 1
H1 H 0.1695 0.4553 0.1196 1
H2 H 0.2663 0.4827 0.5402 1
H3 H 0.3573 0.2013 0.4214 1
H4 H 0.5173 0.7337 0.4598 1
H5 H 0.5370 0.4384 0.8183 1
H6 H 0.5447 0.8305 0.8804 1
H7 H 0.5616 0.4630 0.1817 1
H8 H 0.7987 0.6427 0.5786 1
H9 H 0.9188 0.0812 0.5000 1
C1 C 0.0597 0.4677 0.9645 1
C2 C 0.0693 0.9307 0.5000 1
C3 C 0.5323 0.9403 0.0355 1
C4 C 0.5369 0.2873 0.7061 1
C5 C 0.7127 0.4631 0.2939 1
N1 N 0.3737 0.3236 0.5436 1
N2 N 0.6764 0.6263 0.4564 1
O1 O 0.0135 0.6387 0.8861 1
O2 O 0.1455 0.8442 0.6661 1
O3 O 0.1558 0.8545 0.3339 1
O4 O 0.3613 0.9865 0.1139 1
O5 O 0.6810 0.1022 0.7368 1
O6 O 0.6857 0.0099 0.1220 1
O7 O 0.8978 0.3190 0.2632 1
O8 O 0.9901 0.3143 0.8780 1
```

Main lines, most intense first (10 to 80 degrees two-theta):
2θ/deg, intensity
14.63, 100
13.89, 47
18.44, 46
21.88, 42
16.41, 31
27.61, 27
37.41, 23
29.40, 22
18.07, 22
29.51, 22

=====

2.
Diffraction record for TmH9C5N2O8. The XRD peak list is simulated, not measured: it uses a DFT-relaxed cell (GGA-PBE, the Materials Project) and Cu Kα, 1.54184 Å.
Intensities are scaled so that the largest is 100.

```
data_TmH9C5N2O8
_chemical_formula_sum 'Tm1 H9 C5 N2 O8'
_cell_length_a 6.6745
_cell_length_b 6.6745
_cell_length_c 6.6292
_cell_angle_alpha 104.68
_cell_angle_beta 104.68
_cell_angle_gamma 66.12
_symmetry_space_group_name_H-M 'P 1'
_symmetry_Int_Tables_number 1
loop_
_symmetry_equiv_pos_as_xyz
'x,y,z'
loop_
_atom_site_label
_atom_site_type_symbol
_atom_site_fract_x
_atom_site_fract_y
_atom_site_fract_z
_atom_site_occupancy
Tm1 Tm 0.0000 0.0000 0.0000 1
H1 H 0.1575 0.4672 0.1282 1
H2 H 0.2687 0.4750 0.5360 1
H3 H 0.3606 0.1901 0.4234 1
H4 H 0.5250 0.7313 0.4640 1
H5 H 0.5328 0.8425 0.8718 1
H6 H 0.5468 0.4395 0.8164 1
H7 H 0.5605 0.4532 0.1836 1
H8 H 0.8099 0.6394 0.5766 1
H9 H 0.9155 0.0845 0.5000 1
C1 C 0.0559 0.4731 0.9676 1
C2 C 0.0667 0.9333 0.5000 1
C3 C 0.5269 0.9441 0.0324 1
C4 C 0.5427 0.2856 0.7075 1
C5 C 0.7144 0.4573 0.2925 1
N1 N 0.3779 0.3160 0.5443 1
N2 N 0.6840 0.6221 0.4557 1
O1 O 0.0118 0.6438 0.8865 1
O2 O 0.1449 0.8484 0.6682 1
O3 O 0.1516 0.8551 0.3318 1
O4 O 0.3562 0.9882 0.1135 1
O5 O 0.6861 0.0079 0.1228 1
O6 O 0.6869 0.0997 0.7424 1
O7 O 0.9003 0.3131 0.2576 1
O8 O 0.9921 0.3139 0.8772 1
```

Main lines, most intense first (10 to 80 degrees two-theta):
2θ/deg, intensity
14.73, 100
14.02, 46
18.55, 46
29.66, 41
22.07, 40
16.63, 30
27.93, 25
37.66, 22
18.24, 22
35.17, 19

=====

3.
Diffraction record for TmH9C5N2O8. The XRD peak list is simulated, not measured: it uses a DFT-relaxed cell (GGA-PBE, the Materials Project) and Cu Kα, 1.54184 Å.
Intensities are scaled so that the largest is 100.

```
data_TmH9C5N2O8
_chemical_formula_sum 'Tm2 H18 C10 N4 O16'
_cell_length_a 9.7291
_cell_length_b 9.7291
_cell_length_c 8.5314
_cell_angle_alpha 90.00
_cell_angle_beta 90.00
_cell_angle_gamma 139.62
_symmetry_space_group_name_H-M 'P 1'
_symmetry_Int_Tables_number 1
loop_
_symmetry_equiv_pos_as_xyz
'x,y,z'
loop_
_atom_site_label
_atom_site_type_symbol
_atom_site_fract_x
_atom_site_fract_y
_atom_site_fract_z
_atom_site_occupancy
Tm1 Tm 0.1422 0.8578 0.7500 1
Tm2 Tm 0.8578 0.1422 0.2500 1
H1 H 0.0764 0.4968 0.9405 1
H2 H 0.1713 0.3570 0.6019 1
H3 H 0.2343 0.2343 0.0000 1
H4 H 0.3132 0.6868 0.2500 1
H5 H 0.3415 0.3529 0.6706 1
H6 H 0.3448 0.6552 0.7500 1
H7 H 0.3529 0.3415 0.3294 1
H8 H 0.3570 0.1713 0.3981 1
H9 H 0.4968 0.0764 0.0595 1
H10 H 0.5032 0.9236 0.5595 1
H11 H 0.6430 0.8287 0.8981 1
H12 H 0.6471 0.6585 0.8294 1
H13 H 0.6552 0.3448 0.2500 1
H14 H 0.6585 0.6471 0.1706 1
H15 H 0.6868 0.3132 0.7500 1
H16 H 0.7657 0.7657 0.5000 1
H17 H 0.8287 0.6430 0.1019 1
H18 H 0.9236 0.5032 0.4405 1
C1 C 0.0061 0.5176 0.0243 1
C2 C 0.0696 0.0696 0.0000 1
C3 C 0.3738 0.6262 0.2500 1
C4 C 0.4047 0.5953 0.7500 1
C5 C 0.4824 0.9939 0.4757 1
C6 C 0.5176 0.0061 0.9757 1
C7 C 0.5953 0.4047 0.2500 1
C8 C 0.6262 0.3738 0.7500 1
C9 C 0.9304 0.9304 0.5000 1
C10 C 0.9939 0.4824 0.5243 1
N1 N 0.3009 0.4243 0.6661 1
N2 N 0.4243 0.3009 0.3339 1
N3 N 0.5757 0.6991 0.8339 1
N4 N 0.6991 0.5757 0.1661 1
O1 O 0.0050 0.6423 0.9846 1
O2 O 0.0296 0.9299 0.9253 1
O3 O 0.0683 0.5853 0.6523 1
O4 O 0.0701 0.9704 0.5747 1
O5 O 0.2401 0.4274 0.2348 1
O6 O 0.3577 0.9950 0.5154 1
O7 O 0.4147 0.9317 0.8477 1
O8 O 0.4274 0.2401 0.7652 1
O9 O 0.5726 0.7599 0.2652 1
O10 O 0.5853 0.0683 0.3477 1
O11 O 0.6423 0.0050 0.0154 1
O12 O 0.7599 0.5726 0.7348 1
O13 O 0.9299 0.0296 0.0747 1
O14 O 0.9317 0.4147 0.1523 1
O15 O 0.9704 0.0701 0.4253 1
O16 O 0.9950 0.3577 0.4846 1
```

Main lines, most intense first (10 to 80 degrees two-theta):
2θ/deg, intensity
14.21, 100
17.49, 75
14.05, 28
28.64, 26
30.23, 23
28.81, 22
19.68, 20
42.81, 19
42.45, 18
20.82, 15